1.
# PaGa2Pd8
Calculated X-ray diffraction stick pattern, Cu Kα (weighted mean of Kα1 and Kα2). Input: a structure optimized by DFT (GGA-PBE).

The 10 most intense peaks (5° ≤ 2θ ≤ 70°), in order of falling intensity:
d/Å	I_rel
2.347	100
2.269	96
2.149	46
2.096	43
1.500	29
1.804	18
2.566	16
2.176	15
1.368	14
3.146	10

Crystal structure
Cell: 7.387 7.387 6.613 Å, 113.26 113.26 32.97°
Atoms (fractional coordinates):
Pa 0.000 0.000 0.000
Ga 0.295 0.295 0.336
Ga 0.705 0.705 0.664
Pd 0.107 0.107 0.463
Pd 0.178 0.178 0.930
Pd 0.340 0.340 0.767
Pd 0.464 0.464 0.265
Pd 0.536 0.536 0.735
Pd 0.660 0.660 0.233
Pd 0.822 0.822 0.070
Pd 0.893 0.893 0.537

---

2.
# PaGaPd3
Calculated X-ray diffraction stick pattern, Cu Kα (weighted mean of Kα1 and Kα2). Input: a structure optimized by DFT (GGA-PBE).

The 10 most intense peaks (5° ≤ 2θ ≤ 70°), in order of falling intensity:
d/Å	I_rel
2.350	100
2.791	59
2.134	36
2.697	34
1.348	34
2.114	34
2.405	28
1.646	19
2.572	19
5.244	18

Crystal structure
Cell: 5.655 3.292 10.659 Å, 90.00 97.48 90.00°
Atoms (fractional coordinates):
Pa 0.196 0.000 0.289
Pa 0.804 0.000 0.711
Ga 0.299 0.500 0.695
Ga 0.701 0.500 0.305
Pd 0.000 0.500 0.500
Pd 0.094 0.500 0.886
Pd 0.398 0.500 0.114
Pd 0.500 0.500 0.500
Pd 0.602 0.500 0.886
Pd 0.906 0.500 0.114

---

3.
# Pa2Ga3Pd
Calculated X-ray diffraction stick pattern, Cu Kα (weighted mean of Kα1 and Kα2). Input: a structure optimized by DFT (GGA-PBE).

The 10 most intense peaks (5° ≤ 2θ ≤ 70°), in order of falling intensity:
d/Å	I_rel
2.506	100
2.304	63
3.991	35
1.696	31
1.366	20
1.365	10
1.610	7
1.995	6
1.493	5
1.509	3

Crystal structure
Cell: 9.220 8.613 5.618 Å, 77.63 65.85 36.52°
Atoms (fractional coordinates):
Pa 0.246 0.754 0.754
Pa 0.250 0.250 0.250
Pa 0.750 0.750 0.750
Pa 0.754 0.246 0.246
Ga 0.165 0.668 0.332
Ga 0.332 0.332 0.668
Ga 0.332 0.835 0.165
Ga 0.668 0.165 0.835
Ga 0.668 0.668 0.332
Ga 0.835 0.332 0.668
Pd 0.166 0.166 0.834
Pd 0.834 0.834 0.166